Structure and computed powder X-ray diffraction pattern of Dy2HoMg3Ir3 (a structure optimized by DFT (GGA-PBE); copper Kα).

Cell and atoms:
```
data_Dy2HoMg3Ir3
_cell_length_a 4.049
_cell_length_b 12.547
_cell_length_c 7.246
_cell_angle_alpha 90.00
_cell_angle_beta 90.00
_cell_angle_gamma 90.00
_symmetry_space_group_name_H-M 'A m m 2'
_symmetry_Int_Tables_number 38
loop_
_symmetry_equiv_pos_as_xyz
'x,y,z'
'-x,-y,z'
'-x,y,z'
'x,-y,z'
'x,y+1/2,z+1/2'
'-x,-y+1/2,z+1/2'
'-x,y+1/2,z+1/2'
'x,-y+1/2,z+1/2'
loop_
_atom_site_label
_atom_site_type_symbol
_atom_site_fract_x
_atom_site_fract_y
_atom_site_fract_z
_atom_site_occupancy
Dy1 Dy 0.000 0.205 0.000 1
Ho1 Ho 0.000 0.000 0.614 1
Mg1 Mg 0.500 0.000 0.960 1
Mg2 Mg 0.500 0.122 0.327 1
Ir1 Ir 0.000 0.000 0.205 1
Ir2 Ir 0.500 0.166 0.705 1
```

Peak list (10 most intense, 2θ = 10–90°, in order of falling intensity)
d [Å]	Rel. int.
2.480	1000
2.700	707
3.623	517
2.092	395
2.046	369
3.402	271
1.356	265
1.455	249
2.025	241
1.599	170


Structure and computed powder X-ray diffraction pattern of DyHo2NiSn3Ir2 (a structure optimized by DFT (GGA-PBE); copper Kα).

Cell and atoms:
```
data_DyHo2NiSn3Ir2
_cell_length_a 3.774
_cell_length_b 13.062
_cell_length_c 7.533
_cell_angle_alpha 90.00
_cell_angle_beta 90.00
_cell_angle_gamma 90.00
_symmetry_space_group_name_H-M 'A m m 2'
_symmetry_Int_Tables_number 38
loop_
_symmetry_equiv_pos_as_xyz
'x,y,z'
'-x,-y,z'
'-x,y,z'
'x,-y,z'
'x,y+1/2,z+1/2'
'-x,-y+1/2,z+1/2'
'-x,y+1/2,z+1/2'
'x,-y+1/2,z+1/2'
loop_
_atom_site_label
_atom_site_type_symbol
_atom_site_fract_x
_atom_site_fract_y
_atom_site_fract_z
_atom_site_occupancy
Dy1 Dy 0.000 0.000 0.000 1
Ho1 Ho 0.000 0.204 0.611 1
Ni1 Ni 0.000 0.000 0.408 1
Sn1 Sn 0.500 0.000 0.663 1
Sn2 Sn 0.500 0.128 0.280 1
Ir1 Ir 0.500 0.167 0.907 1
```

Peak list (10 most intense, 2θ = 10–90°, in order of falling intensity)
d [Å]	Rel. int.
2.468	1000
2.667	832
2.176	317
1.886	240
1.392	223
1.425	201
1.499	192
2.065	174
1.333	130
1.811	113


Structure and computed powder X-ray diffraction pattern of Dy2HoIrPd2Pb3 (a structure optimized by DFT (GGA-PBE); copper Kα).

Cell and atoms:
```
data_Dy2HoIrPd2Pb3
_cell_length_a 3.873
_cell_length_b 13.497
_cell_length_c 7.796
_cell_angle_alpha 90.00
_cell_angle_beta 90.00
_cell_angle_gamma 90.00
_symmetry_space_group_name_H-M 'A m m 2'
_symmetry_Int_Tables_number 38
loop_
_symmetry_equiv_pos_as_xyz
'x,y,z'
'-x,-y,z'
'-x,y,z'
'x,-y,z'
'x,y+1/2,z+1/2'
'-x,-y+1/2,z+1/2'
'-x,y+1/2,z+1/2'
'x,-y+1/2,z+1/2'
loop_
_atom_site_label
_atom_site_type_symbol
_atom_site_fract_x
_atom_site_fract_y
_atom_site_fract_z
_atom_site_occupancy
Dy1 Dy 0.000 0.198 0.000 1
Ho1 Ho 0.000 0.000 0.406 1
Ir1 Ir 0.000 0.000 0.801 1
Pd1 Pd 0.500 0.166 0.302 1
Pb1 Pb 0.500 0.000 0.067 1
Pb2 Pb 0.500 0.133 0.669 1
```

Peak list (10 most intense, 2θ = 10–90°, in order of falling intensity)
d [Å]	Rel. int.
2.747	1000
2.544	699
2.250	459
2.551	429
1.438	355
2.131	327
1.468	240
1.937	217
1.542	188
6.750	139


Structure and computed powder X-ray diffraction pattern of Dy2HoSn3Ir2Pd (a structure optimized by DFT (GGA-PBE); copper Kα).

Cell and atoms:
```
data_Dy2HoSn3Ir2Pd
_cell_length_a 3.894
_cell_length_b 13.093
_cell_length_c 7.567
_cell_angle_alpha 90.00
_cell_angle_beta 90.00
_cell_angle_gamma 90.00
_symmetry_space_group_name_H-M 'A m m 2'
_symmetry_Int_Tables_number 38
loop_
_symmetry_equiv_pos_as_xyz
'x,y,z'
'-x,-y,z'
'-x,y,z'
'x,-y,z'
'x,y+1/2,z+1/2'
'-x,-y+1/2,z+1/2'
'-x,y+1/2,z+1/2'
'x,-y+1/2,z+1/2'
loop_
_atom_site_label
_atom_site_type_symbol
_atom_site_fract_x
_atom_site_fract_y
_atom_site_fract_z
_atom_site_occupancy
Dy1 Dy 0.000 0.205 0.000 1
Ho1 Ho 0.000 0.000 0.385 1
Sn1 Sn 0.500 0.000 0.060 1
Sn2 Sn 0.500 0.132 0.662 1
Ir1 Ir 0.500 0.166 0.295 1
Pd1 Pd 0.000 0.000 0.794 1
```

Peak list (10 most intense, 2θ = 10–90°, in order of falling intensity)
d [Å]	Rel. int.
2.713	1000
2.506	911
2.183	464
2.476	417
1.402	324
1.453	258
2.089	257
1.947	255
1.530	194
1.817	135


Structure and computed powder X-ray diffraction pattern of Li3Dy2HoPb3 (a structure optimized by DFT (GGA-PBE); copper Kα).

Cell and atoms:
```
data_Li3Dy2HoPb3
_cell_length_a 4.7827
_cell_length_b 4.7827
_cell_length_c 10.8255
_cell_angle_alpha 90.00
_cell_angle_beta 90.00
_cell_angle_gamma 120.00
_symmetry_space_group_name_H-M 'P -6 m 2'
_symmetry_Int_Tables_number 187
_symmetry_space_group_name_Hall 'P -6 2'
loop_
_atom_site_label
_atom_site_type_symbol
_atom_site_fract_x
_atom_site_fract_y
_atom_site_fract_z
_atom_site_occupancy
Li1 Li 0.0000 0.0000 0.0000 1
Li2 Li 0.3333 0.6667 0.3108 1
Dy1 Dy 0.6667 0.3333 0.1647 1
Ho1 Ho 0.6667 0.3333 0.5000 1
Pb1 Pb 0.0000 0.0000 0.3276 1
Pb2 Pb 0.3333 0.6667 0.0000 1
```

Peak list (10 most intense, 2θ = 10–90°, in order of falling intensity)
d [Å]	Rel. int.
2.721	1000
2.391	655
3.868	411
3.289	329
1.796	299
1.436	289
1.440	267
1.095	129
4.142	129
1.096	119


Structure and computed powder X-ray diffraction pattern of Li3Dy2HoSn3 (a structure optimized by DFT (GGA-PBE); copper Kα).

Cell and atoms:
```
data_Li3Dy2HoSn3
_cell_length_a 4.7289
_cell_length_b 4.7289
_cell_length_c 10.6704
_cell_angle_alpha 90.00
_cell_angle_beta 90.00
_cell_angle_gamma 120.00
_symmetry_space_group_name_H-M 'P -6 m 2'
_symmetry_Int_Tables_number 187
_symmetry_space_group_name_Hall 'P -6 2'
loop_
_atom_site_label
_atom_site_type_symbol
_atom_site_fract_x
_atom_site_fract_y
_atom_site_fract_z
_atom_site_occupancy
Li1 Li 0.0000 0.0000 0.0000 1
Li2 Li 0.3333 0.6667 0.3099 1
Dy1 Dy 0.6667 0.3333 0.1653 1
Ho1 Ho 0.6667 0.3333 0.5000 1
Sn1 Sn 0.0000 0.0000 0.3305 1
Sn2 Sn 0.3333 0.6667 0.0000 1
```

Peak list (10 most intense, 2θ = 10–90°, in order of falling intensity)
d [Å]	Rel. int.
2.685	1000
2.364	566
4.095	307
1.775	297
1.419	287
1.421	231
3.823	212
3.249	151
1.365	103
1.778	80


Structure and computed powder X-ray diffraction pattern of Dy3Ho2Lu3 (a structure optimized by DFT (GGA-PBE); copper Kα).

Cell and atoms:
```
data_Dy3Ho2Lu3
_cell_length_a 7.1374
_cell_length_b 7.1374
_cell_length_c 5.5332
_cell_angle_alpha 90.00
_cell_angle_beta 90.00
_cell_angle_gamma 120.00
_symmetry_space_group_name_H-M 'P -6 m 2'
_symmetry_Int_Tables_number 187
_symmetry_space_group_name_Hall 'P -6 2'
loop_
_atom_site_label
_atom_site_type_symbol
_atom_site_fract_x
_atom_site_fract_y
_atom_site_fract_z
_atom_site_occupancy
Dy1 Dy 0.0000 0.5000 0.0000 1
Ho1 Ho 0.0000 0.0000 0.0000 1
Ho2 Ho 0.3333 0.6667 0.5000 1
Lu1 Lu 0.3345 0.1673 0.5000 1
```

Peak list (10 most intense, 2θ = 10–90°, in order of falling intensity)
d [Å]	Rel. int.
2.698	1000
3.091	240
2.767	238
1.500	225
1.584	202
1.784	198
1.488	164
2.061	155
1.143	142
1.093	85


Structure and computed powder X-ray diffraction pattern of Dy2Ho3Lu3 (a structure optimized by DFT (GGA-PBE); copper Kα).

Cell and atoms:
```
data_Dy2Ho3Lu3
_cell_length_a 5.544
_cell_length_b 7.126
_cell_length_c 12.343
_cell_angle_alpha 90.00
_cell_angle_beta 90.00
_cell_angle_gamma 90.00
_symmetry_space_group_name_H-M 'A m m 2'
_symmetry_Int_Tables_number 38
loop_
_symmetry_equiv_pos_as_xyz
'x,y,z'
'-x,-y,z'
'-x,y,z'
'x,-y,z'
'x,y+1/2,z+1/2'
'-x,-y+1/2,z+1/2'
'-x,y+1/2,z+1/2'
'x,-y+1/2,z+1/2'
loop_
_atom_site_label
_atom_site_type_symbol
_atom_site_fract_x
_atom_site_fract_y
_atom_site_fract_z
_atom_site_occupancy
Dy1 Dy 0.000 0.000 0.000 1
Dy2 Dy 0.500 0.000 0.333 1
Ho1 Ho 0.000 0.249 0.750 1
Ho2 Ho 0.500 0.000 0.833 1
Lu1 Lu 0.000 0.000 0.500 1
Lu2 Lu 0.500 0.249 0.584 1
```

Peak list (10 most intense, 2θ = 10–90°, in order of falling intensity)
d [Å]	Rel. int.
2.696	1000
2.772	240
3.086	239
1.499	225
1.585	203
1.782	198
1.486	164
2.062	155
1.141	142
1.094	86